1.
This entry pairs a crystal structure of RbSi with its calculated XRD peak list. Radiation: a wavelength of 1.5418 Å. Structure: a PBE-relaxed structure.

Principal peaks in the range 2θ = 10–80°, in order of rising 2θ:
d_spacing  I_rel
3.803  90
3.478  36
3.249  23
3.013  100
2.901  83
2.755  20
2.633  37
2.348  22
1.787  26
1.599  19

Atomic structure:
```
32
Lattice="-5.5105 5.5105 8.9699 5.5105 -5.5105 8.9699 5.5105 5.5105 -8.9699" Properties=species:S:1:pos:R:3 pbc="T T T"
Rb 4.1941 1.4388 -2.2425
Rb 8.2658 1.1755 0.0000
Rb 6.8270 4.0717 -2.2425
Rb 3.9307 5.5105 -4.4850
Rb 3.9307 0.0000 4.4850
Rb 1.3164 1.4388 2.2425
Rb 2.7553 4.3351 0.0000
Rb -1.3164 4.0717 2.2425
Rb 6.8270 1.4388 6.7274
Rb 2.7553 1.1755 8.9699
Rb 4.1941 4.0717 6.7274
Rb 1.5798 5.5105 4.4850
Rb 1.5798 0.0000 13.4549
Rb -1.3164 1.4388 11.2124
Rb -2.7553 4.3351 8.9699
Rb 1.3164 4.0717 11.2124
Si 4.4647 -3.3881 5.8731
Si 6.1434 -3.8011 7.5818
Si 6.5563 -2.1224 5.8731
Si 4.8777 1.7095 1.3881
Si 4.8777 -1.7095 7.5818
Si 6.5563 2.1224 3.0968
Si 6.1434 3.8011 1.3881
Si 4.4647 3.3881 3.0968
Si 1.0458 2.1224 5.8731
Si -0.6329 1.7095 7.5818
Si -1.0458 3.3881 5.8731
Si 0.6329 7.2200 1.3881
Si 0.6329 3.8011 7.5818
Si -1.0458 7.6330 3.0968
Si -0.6329 9.3116 1.3881
Si 1.0458 8.8987 3.0968
```

2.
This entry pairs a crystal structure of Rb3Si with its calculated XRD peak list. Radiation: a wavelength of 1.5418 Å. Structure: a PBE-relaxed structure.

Principal peaks in the range 2θ = 10–80°, in order of rising 2θ:
d_spacing  I_rel
5.187  12
3.200  100
3.131  47
2.314  10
2.214  17
1.861  20
1.821  38
1.600  12
1.457  9
1.217  10

Atomic structure:
```
4
Lattice="-3.1314 3.1314 4.6277 3.1314 -3.1314 4.6277 3.1314 3.1314 -4.6277" Properties=species:S:1:pos:R:3 pbc="T T T"
Rb 0.0000 0.0000 0.0000
Rb 3.1314 0.0000 2.3139
Rb 0.0000 3.1314 2.3139
Si 0.0000 0.0000 4.6277
```